# Sr3Ge2N2
Calculated powder X-ray diffraction pattern, Cu Kα (λ = 1.5418 Å). Input: a DFT-relaxed cell (GGA-PBE, Alexandria).

Atomic structure:
```
14
Lattice="9.102 0.000 0.000 0.000 3.913 0.000 -3.715 0.000 8.955" Properties=species:S:1:pos:R:3 pbc="T T T"
Sr -0.458 0.978 1.518
Sr -0.406 2.935 4.980
Sr 2.927 2.935 1.317
Sr 2.460 0.978 7.639
Sr 5.793 0.978 3.975
Sr 5.845 2.935 7.438
Ge -0.801 0.978 7.602
Ge 2.118 0.978 3.977
Ge 3.269 2.935 4.978
Ge 6.188 2.935 1.353
N -1.869 0.978 6.035
N 1.656 0.978 0.074
N 3.731 2.935 8.881
N 7.256 2.935 2.920
```

Principal peaks in the range 2θ = 15–90°, by angle:
- 28.5°, I 37, (1 1 1)
- 29.5°, I 100, (3 0 -1)
- 29.9°, I 47, (0 0 3)
- 30.3°, I 32, (0 1 2)
- 32.4°, I 73, (2 1 -2)
- 35.3°, I 64, (2 1 1)

---

# SrGe7N10
Calculated powder X-ray diffraction pattern, Cu Kα (λ = 1.5418 Å). Input: a DFT-relaxed cell (GGA-PBE, Alexandria).

Atomic structure:
```
36
Lattice="7.281 0.000 0.000 0.000 7.181 0.000 -2.741 0.000 9.892" Properties=species:S:1:pos:R:3 pbc="T T T"
Sr 0.000 0.176 0.000
Sr -1.371 7.005 4.946
Ge 0.230 2.824 4.355
Ge -1.141 4.357 9.301
Ge 0.732 2.715 7.414
Ge 2.102 4.466 2.468
Ge 2.118 0.202 3.784
Ge 0.748 6.980 8.730
Ge 4.014 2.657 0.536
Ge 2.643 4.524 5.482
Ge 2.693 0.210 6.844
Ge 4.064 6.972 1.898
Ge 4.485 2.625 3.544
Ge 3.115 4.557 8.490
Ge 4.963 2.675 6.706
Ge 6.333 4.507 1.759
N -1.010 2.991 8.000
N 0.361 4.191 3.054
N 0.580 1.110 3.875
N -0.790 6.072 8.821
N 2.443 3.580 0.895
N 1.073 3.602 5.841
N 0.938 0.898 7.195
N 2.309 6.283 2.249
N 3.861 0.832 0.368
N 2.490 6.349 5.314
N 1.809 3.313 8.795
N 3.180 3.869 3.849
N 3.848 0.910 3.411
N 2.477 6.271 8.358
N 5.255 2.978 1.880
N 3.885 4.203 6.826
N 4.307 1.006 7.001
N 5.677 6.176 2.055
N 5.711 2.674 4.935
N 4.341 4.508 9.881
```

Principal peaks in the range 2θ = 15–90°, by angle:
- 24.8°, I 39, (0 2 0)
- 27.6°, I 85, (2 1 -1)
- 28.3°, I 85, (1 2 -1)
- 29.8°, I 100, (0 1 3)
- 35.1°, I 60, (2 0 2)
- 37.3°, I 98, (1 1 -4)